# 1
Diffraction record for Tb2PuVN5. The X-ray powder pattern is computed, not measured: it uses a cell relaxed with PBE and a wavelength of 1.5418 Å.
Neutral-atom scattering factors, no anomalous dispersion.

Peak list (10 most intense, 2θ = 10–80°, low angle first)
d [Å], I/Imax
6.852, 33
3.306, 30
3.246, 34
3.034, 66
2.840, 59
2.731, 63
2.637, 34
2.365, 100
2.228, 31
1.968, 42

Structure:
```
data_Tb2PuVN5
_space_group_name_H-M_alt 'P 1'
_space_group_IT_number 1
_cell_length_a 7.0610
_cell_length_b 7.0610
_cell_length_c 10.1502
_cell_angle_alpha 90.00
_cell_angle_beta 90.00
_cell_angle_gamma 152.08
loop_
_space_group_symop_operation_xyz
'x,y,z'
loop_
_atom_site_label
_atom_site_type_symbol
_atom_site_fract_x
_atom_site_fract_y
_atom_site_fract_z
Tb1 Tb 0.1092 0.8908 0.5000
Tb2 Tb 0.1386 0.8614 0.1046
Tb3 Tb 0.8614 0.1386 0.6046
Tb4 Tb 0.8908 0.1092 0.0000
Pu1 Pu 0.2075 0.7925 0.8151
Pu2 Pu 0.7925 0.2075 0.3151
V1 V 0.4919 0.5081 0.2720
V2 V 0.5081 0.4919 0.7720
N1 N 0.0410 0.9590 0.8461
N2 N 0.2858 0.7142 0.4612
N3 N 0.3131 0.6869 0.1799
N4 N 0.3757 0.6243 0.8175
N5 N 0.4918 0.5082 0.5976
N6 N 0.5082 0.4918 0.0976
N7 N 0.6243 0.3757 0.3175
N8 N 0.6869 0.3131 0.6799
N9 N 0.7142 0.2858 0.9612
N10 N 0.9590 0.0410 0.3461
```

=====

# 2
Diffraction record for LaHoCuNi. The X-ray powder pattern is computed, not measured: it uses a cell relaxed with PBE and a wavelength of 1.5418 Å.
Neutral-atom scattering factors, no anomalous dispersion.

Peak list (10 most intense, 2θ = 10–80°, low angle first)
d [Å], I/Imax
3.406, 39
2.773, 100
2.678, 27
2.596, 43
2.289, 17
2.237, 57
2.206, 30
1.890, 19
1.681, 23
1.654, 25

Structure:
```
data_LaHoCuNi
_space_group_name_H-M_alt 'P 1'
_space_group_IT_number 1
_cell_length_a 4.4128
_cell_length_b 3.7808
_cell_length_c 10.7112
_cell_angle_alpha 90.00
_cell_angle_beta 90.00
_cell_angle_gamma 90.00
loop_
_space_group_symop_operation_xyz
'x,y,z'
loop_
_atom_site_label
_atom_site_type_symbol
_atom_site_fract_x
_atom_site_fract_y
_atom_site_fract_z
La1 La 0.0000 0.0000 0.0000
La2 La 0.0000 0.5000 0.5000
Ho1 Ho 0.5000 0.0000 0.7267
Ho2 Ho 0.5000 0.5000 0.2267
Cu1 Cu 0.0000 0.0000 0.2859
Cu2 Cu 0.0000 0.5000 0.7859
Ni1 Ni 0.5000 0.0000 0.4242
Ni2 Ni 0.5000 0.5000 0.9242
```

=====

# 3
Diffraction record for Sm5Dy3Tm4. The X-ray powder pattern is computed, not measured: it uses a cell relaxed with PBE and a wavelength of 1.5418 Å.
Neutral-atom scattering factors, no anomalous dispersion.

Peak list (10 most intense, 2θ = 10–80°, low angle first)
d [Å], I/Imax
3.077, 28
3.044, 41
3.021, 40
2.931, 100
2.868, 35
2.820, 47
2.754, 80
2.712, 38
2.644, 59
2.050, 27

Structure:
```
data_Sm5Dy3Tm4
_space_group_name_H-M_alt 'P 1'
_space_group_IT_number 1
_cell_length_a 8.6097
_cell_length_b 8.6097
_cell_length_c 9.2606
_cell_angle_alpha 115.13
_cell_angle_beta 115.13
_cell_angle_gamma 39.81
loop_
_space_group_symop_operation_xyz
'x,y,z'
loop_
_atom_site_label
_atom_site_type_symbol
_atom_site_fract_x
_atom_site_fract_y
_atom_site_fract_z
Sm1 Sm 0.0000 0.0000 0.0000
Sm2 Sm 0.3256 0.3256 0.6143
Sm3 Sm 0.4231 0.4231 0.2993
Sm4 Sm 0.5769 0.5769 0.7007
Sm5 Sm 0.6744 0.6744 0.3857
Dy1 Dy 0.2079 0.2079 0.2276
Dy2 Dy 0.5000 0.5000 0.0000
Dy3 Dy 0.7921 0.7921 0.7724
Tm1 Tm 0.0803 0.0803 0.4388
Tm2 Tm 0.2149 0.2149 0.8778
Tm3 Tm 0.7851 0.7851 0.1222
Tm4 Tm 0.9197 0.9197 0.5612
```

=====

# 4
Diffraction record for Y3GaPt8. The X-ray powder pattern is computed, not measured: it uses a cell relaxed with PBE and a wavelength of 1.5418 Å.
Neutral-atom scattering factors, no anomalous dispersion.

Peak list (10 most intense, 2θ = 10–80°, low angle first)
d [Å], I/Imax
4.432, 51
2.953, 2
2.714, 8
2.315, 100
2.216, 71
1.919, 24
1.761, 16
1.477, 30
1.357, 30
1.297, 13

Structure:
```
data_Y3GaPt8
_space_group_name_H-M_alt 'P 1'
_space_group_IT_number 1
_cell_length_a 9.3952
_cell_length_b 9.3952
_cell_length_c 9.3952
_cell_angle_alpha 33.60
_cell_angle_beta 33.60
_cell_angle_gamma 33.60
loop_
_space_group_symop_operation_xyz
'x,y,z'
loop_
_atom_site_label
_atom_site_type_symbol
_atom_site_fract_x
_atom_site_fract_y
_atom_site_fract_z
Y1 Y 0.0000 0.0000 0.0000
Y2 Y 0.1306 0.1306 0.1306
Y3 Y 0.6097 0.6097 0.6097
Ga1 Ga 0.4752 0.4752 0.4752
Pt1 Pt 0.0558 0.5613 0.5613
Pt2 Pt 0.0602 0.0602 0.5647
Pt3 Pt 0.0602 0.5647 0.0602
Pt4 Pt 0.3106 0.3106 0.3106
Pt5 Pt 0.5613 0.0558 0.5613
Pt6 Pt 0.5613 0.5613 0.0558
Pt7 Pt 0.5647 0.0602 0.0602
Pt8 Pt 0.8116 0.8116 0.8116
```

=====

# 5
Diffraction record for Al2FeSe. The X-ray powder pattern is computed, not measured: it uses a cell relaxed with PBE and a wavelength of 1.5418 Å.
Neutral-atom scattering factors, no anomalous dispersion.

Peak list (10 most intense, 2θ = 10–80°, low angle first)
d [Å], I/Imax
5.434, 48
4.129, 77
3.983, 82
2.720, 48
2.549, 42
2.335, 100
2.185, 44
2.037, 62
1.991, 64
1.828, 56

Structure:
```
data_Al2FeSe
_space_group_name_H-M_alt 'P 1'
_space_group_IT_number 1
_cell_length_a 8.7517
_cell_length_b 2.8851
_cell_length_c 5.7584
_cell_angle_alpha 90.00
_cell_angle_beta 109.32
_cell_angle_gamma 90.00
loop_
_space_group_symop_operation_xyz
'x,y,z'
loop_
_atom_site_label
_atom_site_type_symbol
_atom_site_fract_x
_atom_site_fract_y
_atom_site_fract_z
Al1 Al 0.0000 0.0000 0.0000
Al2 Al 0.2092 0.0000 0.6893
Al3 Al 0.5000 0.5000 0.0000
Al4 Al 0.7092 0.5000 0.6893
Fe1 Fe 0.2286 0.5000 0.0333
Fe2 Fe 0.7286 0.0000 0.0333
Se1 Se 0.3508 0.0000 0.3656
Se2 Se 0.8508 0.5000 0.3656
```

=====

# 6
Diffraction record for Mg2CrCl6. The X-ray powder pattern is computed, not measured: it uses a cell relaxed with PBE and a wavelength of 1.5418 Å.
Neutral-atom scattering factors, no anomalous dispersion.

Peak list (10 most intense, 2θ = 10–80°, low angle first)
d [Å], I/Imax
5.280, 74
3.028, 18
2.819, 100
2.194, 70
1.840, 34
1.808, 9
1.704, 17
1.541, 10
1.525, 6
1.410, 12

Structure:
```
data_Mg2CrCl6
_space_group_name_H-M_alt 'P 1'
_space_group_IT_number 1
_cell_length_a 7.0788
_cell_length_b 7.0788
_cell_length_c 7.0788
_cell_angle_alpha 53.51
_cell_angle_beta 53.51
_cell_angle_gamma 53.51
loop_
_space_group_symop_operation_xyz
'x,y,z'
loop_
_atom_site_label
_atom_site_type_symbol
_atom_site_fract_x
_atom_site_fract_y
_atom_site_fract_z
Mg1 Mg 0.1796 0.1796 0.1796
Mg2 Mg 0.8204 0.8204 0.8204
Cr1 Cr 0.0000 0.0000 0.0000
Cl1 Cl 0.0799 0.3977 0.7840
Cl2 Cl 0.2160 0.9201 0.6023
Cl3 Cl 0.3977 0.7840 0.0799
Cl4 Cl 0.6023 0.2160 0.9201
Cl5 Cl 0.7840 0.0799 0.3977
Cl6 Cl 0.9201 0.6023 0.2160
```

=====

# 7
Diffraction record for TbPm2Er3Tm6. The X-ray powder pattern is computed, not measured: it uses a cell relaxed with PBE and a wavelength of 1.5418 Å.
Neutral-atom scattering factors, no anomalous dispersion.

Peak list (10 most intense, 2θ = 10–80°, low angle first)
d [Å], I/Imax
2.878, 100
2.868, 33
2.490, 67
1.763, 24
1.759, 24
1.503, 24
1.502, 19
1.499, 14
1.439, 12
1.245, 8

Structure:
```
data_TbPm2Er3Tm6
_space_group_name_H-M_alt 'P 1'
_space_group_IT_number 1
_cell_length_a 6.1070
_cell_length_b 6.1070
_cell_length_c 11.6506
_cell_angle_alpha 95.01
_cell_angle_beta 95.01
_cell_angle_gamma 119.94
loop_
_space_group_symop_operation_xyz
'x,y,z'
loop_
_atom_site_label
_atom_site_type_symbol
_atom_site_fract_x
_atom_site_fract_y
_atom_site_fract_z
Tb1 Tb 0.0000 0.0000 0.0000
Pm1 Pm 0.3334 0.6666 0.0000
Pm2 Pm 0.6666 0.3334 0.0000
Er1 Er 0.1666 0.8334 0.5000
Er2 Er 0.5000 0.5000 0.5000
Er3 Er 0.8334 0.1666 0.5000
Tm1 Tm 0.0850 0.4181 0.2530
Tm2 Tm 0.2478 0.2478 0.7469
Tm3 Tm 0.4181 0.0850 0.2530
Tm4 Tm 0.5819 0.9150 0.7470
Tm5 Tm 0.7522 0.7522 0.2531
Tm6 Tm 0.9150 0.5819 0.7470
```

=====

# 8
Diffraction record for Li2NdSi2. The X-ray powder pattern is computed, not measured: it uses a cell relaxed with PBE and a wavelength of 1.5418 Å.
Neutral-atom scattering factors, no anomalous dispersion.

Peak list (10 most intense, 2θ = 10–80°, low angle first)
d [Å], I/Imax
5.577, 100
3.874, 72
2.921, 69
2.764, 90
2.588, 76
2.066, 31
1.963, 48
1.937, 25
1.655, 38
1.423, 33

Structure:
```
data_Li2NdSi2
_space_group_name_H-M_alt 'P 1'
_space_group_IT_number 1
_cell_length_a 4.1316
_cell_length_b 4.1316
_cell_length_c 11.1549
_cell_angle_alpha 90.00
_cell_angle_beta 90.00
_cell_angle_gamma 90.00
loop_
_space_group_symop_operation_xyz
'x,y,z'
loop_
_atom_site_label
_atom_site_type_symbol
_atom_site_fract_x
_atom_site_fract_y
_atom_site_fract_z
Li1 Li 0.0000 0.5000 0.2500
Li2 Li 0.0000 0.5000 0.7500
Li3 Li 0.5000 0.0000 0.2500
Li4 Li 0.5000 0.0000 0.7500
Nd1 Nd 0.0000 0.0000 0.0000
Nd2 Nd 0.5000 0.5000 0.5000
Si1 Si 0.0000 0.0000 0.3949
Si2 Si 0.0000 0.0000 0.6051
Si3 Si 0.5000 0.5000 0.1051
Si4 Si 0.5000 0.5000 0.8949
```

=====

# 9
Diffraction record for Ho4InAu5. The X-ray powder pattern is computed, not measured: it uses a cell relaxed with PBE and a wavelength of 1.5418 Å.
Neutral-atom scattering factors, no anomalous dispersion.

Peak list (10 most intense, 2θ = 10–80°, low angle first)
d [Å], I/Imax
3.586, 2
2.535, 52
2.515, 100
2.060, 1
1.793, 19
1.765, 8
1.460, 38
1.448, 18
1.268, 6
1.258, 11

Structure:
```
data_Ho4InAu5
_space_group_name_H-M_alt 'P 1'
_space_group_IT_number 1
_cell_length_a 3.5857
_cell_length_b 3.5857
_cell_length_c 17.6474
_cell_angle_alpha 90.00
_cell_angle_beta 90.00
_cell_angle_gamma 90.00
loop_
_space_group_symop_operation_xyz
'x,y,z'
loop_
_atom_site_label
_atom_site_type_symbol
_atom_site_fract_x
_atom_site_fract_y
_atom_site_fract_z
Ho1 Ho 0.0000 0.0000 0.1024
Ho2 Ho 0.0000 0.0000 0.3073
Ho3 Ho 0.0000 0.0000 0.6927
Ho4 Ho 0.0000 0.0000 0.8976
In1 In 0.0000 0.0000 0.5000
Au1 Au 0.5000 0.5000 0.0000
Au2 Au 0.5000 0.5000 0.2023
Au3 Au 0.5000 0.5000 0.3971
Au4 Au 0.5000 0.5000 0.6029
Au5 Au 0.5000 0.5000 0.7977
```

=====

# 10
Diffraction record for Np3Tl2CdO12. The X-ray powder pattern is computed, not measured: it uses a cell relaxed with PBE and a wavelength of 1.5418 Å.
Neutral-atom scattering factors, no anomalous dispersion.

Peak list (10 most intense, 2θ = 10–80°, low angle first)
d [Å], I/Imax
5.566, 27
3.419, 61
3.369, 100
3.257, 32
3.093, 35
2.171, 33
2.008, 37
1.834, 19
1.684, 35
1.474, 18

Structure:
```
data_Np3Tl2CdO12
_space_group_name_H-M_alt 'P 1'
_space_group_IT_number 1
_cell_length_a 7.7313
_cell_length_b 7.7313
_cell_length_c 7.7313
_cell_angle_alpha 62.60
_cell_angle_beta 62.60
_cell_angle_gamma 62.60
loop_
_space_group_symop_operation_xyz
'x,y,z'
loop_
_atom_site_label
_atom_site_type_symbol
_atom_site_fract_x
_atom_site_fract_y
_atom_site_fract_z
Np1 Np 0.0000 0.5000 0.5000
Np2 Np 0.5000 0.0000 0.5000
Np3 Np 0.5000 0.5000 0.0000
Tl1 Tl 0.1620 0.1620 0.1620
Tl2 Tl 0.8380 0.8380 0.8380
Cd1 Cd 0.5000 0.5000 0.5000
O1 O 0.1517 0.5756 0.5756
O2 O 0.1931 0.1931 0.5643
O3 O 0.1931 0.5643 0.1931
O4 O 0.4244 0.4244 0.8483
O5 O 0.4244 0.8483 0.4244
O6 O 0.4357 0.8069 0.8069
O7 O 0.5643 0.1931 0.1931
O8 O 0.5756 0.1517 0.5756
O9 O 0.5756 0.5756 0.1517
O10 O 0.8069 0.4357 0.8069
O11 O 0.8069 0.8069 0.4357
O12 O 0.8483 0.4244 0.4244
```

=====

# 11
Diffraction record for N. The X-ray powder pattern is computed, not measured: it uses a cell relaxed with PBE and a wavelength of 1.5418 Å.
Neutral-atom scattering factors, no anomalous dispersion.

Peak list (10 most intense, 2θ = 10–80°, low angle first)
d [Å], I/Imax
4.018, 4
3.344, 100
3.040, 25
3.015, 30
2.715, 7
2.144, 7
2.138, 7
1.895, 2
1.808, 7
1.798, 10

Structure:
```
data_N
_space_group_name_H-M_alt 'P 1'
_space_group_IT_number 1
_cell_length_a 6.0800
_cell_length_b 5.3530
_cell_length_c 6.0308
_cell_angle_alpha 90.00
_cell_angle_beta 90.16
_cell_angle_gamma 90.00
loop_
_space_group_symop_operation_xyz
'x,y,z'
loop_
_atom_site_label
_atom_site_type_symbol
_atom_site_fract_x
_atom_site_fract_y
_atom_site_fract_z
N1 N 0.2161 0.1040 0.2500
N2 N 0.2161 0.8960 0.2500
N3 N 0.2839 0.3960 0.7500
N4 N 0.2839 0.6040 0.7500
N5 N 0.7161 0.3960 0.2500
N6 N 0.7161 0.6040 0.2500
N7 N 0.7839 0.1040 0.7500
N8 N 0.7839 0.8960 0.7500
```

=====

# 12
Diffraction record for TaCrTe4. The X-ray powder pattern is computed, not measured: it uses a cell relaxed with PBE and a wavelength of 1.5418 Å.
Neutral-atom scattering factors, no anomalous dispersion.

Peak list (10 most intense, 2θ = 10–80°, low angle first)
d [Å], I/Imax
7.265, 63
3.628, 18
2.951, 100
2.945, 47
2.417, 22
2.412, 51
2.404, 17
1.939, 32
1.860, 28
1.302, 16

Structure:
```
data_TaCrTe4
_space_group_name_H-M_alt 'P 1'
_space_group_IT_number 1
_cell_length_a 15.8698
_cell_length_b 3.7359
_cell_length_c 6.4353
_cell_angle_alpha 90.00
_cell_angle_beta 113.71
_cell_angle_gamma 90.00
loop_
_space_group_symop_operation_xyz
'x,y,z'
loop_
_atom_site_label
_atom_site_type_symbol
_atom_site_fract_x
_atom_site_fract_y
_atom_site_fract_z
Ta1 Ta 0.0000 0.0000 0.0000
Ta2 Ta 0.5000 0.5000 0.0000
Cr1 Cr 0.0000 0.5000 0.5000
Cr2 Cr 0.5000 0.0000 0.5000
Te1 Te 0.1178 0.0000 0.4594
Te2 Te 0.1213 0.5000 0.9440
Te3 Te 0.3787 0.0000 0.0560
Te4 Te 0.3822 0.5000 0.5406
Te5 Te 0.6178 0.5000 0.4594
Te6 Te 0.6213 0.0000 0.9440
Te7 Te 0.8787 0.5000 0.0560
Te8 Te 0.8822 0.0000 0.5406
```

=====

Please write out number 5 again, unchanged.
Diffraction record for Al2FeSe. The X-ray powder pattern is computed, not measured: it uses a cell relaxed with PBE and a wavelength of 1.5418 Å.
Neutral-atom scattering factors, no anomalous dispersion.

Peak list (10 most intense, 2θ = 10–80°, low angle first)
d [Å], I/Imax
5.434, 48
4.129, 77
3.983, 82
2.720, 48
2.549, 42
2.335, 100
2.185, 44
2.037, 62
1.991, 64
1.828, 56

Structure:
```
data_Al2FeSe
_space_group_name_H-M_alt 'P 1'
_space_group_IT_number 1
_cell_length_a 8.7517
_cell_length_b 2.8851
_cell_length_c 5.7584
_cell_angle_alpha 90.00
_cell_angle_beta 109.32
_cell_angle_gamma 90.00
loop_
_space_group_symop_operation_xyz
'x,y,z'
loop_
_atom_site_label
_atom_site_type_symbol
_atom_site_fract_x
_atom_site_fract_y
_atom_site_fract_z
Al1 Al 0.0000 0.0000 0.0000
Al2 Al 0.2092 0.0000 0.6893
Al3 Al 0.5000 0.5000 0.0000
Al4 Al 0.7092 0.5000 0.6893
Fe1 Fe 0.2286 0.5000 0.0333
Fe2 Fe 0.7286 0.0000 0.0333
Se1 Se 0.3508 0.0000 0.3656
Se2 Se 0.8508 0.5000 0.3656
```